Theoretical X-ray powder pattern
Compound: AcDy2Tl3Se6
Radiation: copper Kα
Structure: a crystal structure in Alexandria, relaxed with GGA-PBE

Top 8 peaks for 10 to 90 degrees two-theta, in order of rising 2θ:
| 2θ/deg | d (Å) | intensity |
| --- | --- | --- |
| 22.9 | 3.875 | 12 |
| 25.0 | 3.560 | 24 |
| 28.4 | 3.145 | 100 |
| 39.3 | 2.295 | 38 |
| 41.8 | 2.159 | 36 |
| 51.3 | 1.780 | 19 |
| 58.7 | 1.573 | 11 |
| 68.3 | 1.374 | 11 |

Structure:
```
data_AcDy2Tl3Se6
_space_group_name_H-M_alt 'C 1 2/m 1'
_space_group_IT_number 12
_cell_length_a 7.4872
_cell_length_b 12.9408
_cell_length_c 8.1412
_cell_angle_alpha 90.00
_cell_angle_beta 107.82
_cell_angle_gamma 90.00
loop_
_space_group_symop_operation_xyz
'x,y,z'
'-x,-y,-z'
'-x,y,-z'
'x,-y,z'
'x+1/2,y+1/2,z'
'-x+1/2,-y+1/2,-z'
'-x+1/2,y+1/2,-z'
'x+1/2,-y+1/2,z'
loop_
_atom_site_label
_atom_site_type_symbol
_atom_site_fract_x
_atom_site_fract_y
_atom_site_fract_z
Ac1 Ac 0.0000 0.0000 0.0000
Dy1 Dy 0.0000 0.3333 0.0000
Tl1 Tl 0.0000 0.1636 0.5000
Tl2 Tl 0.0000 0.5000 0.5000
Se1 Se 0.2154 0.5000 0.2053
Se2 Se 0.2465 0.1766 0.2095
```